Mg2CrIn3S8: theoretical powder X-ray diffraction pattern (a wavelength of 1.5418 Å), based on the GGA-PBE geometry in Alexandria.

abc: 7.5908 7.5908 18.4898
angles: 90.00 90.00 120.00
Space group R-3m (No. 166, hexagonal axes)
Inequivalent atoms, fractional coordinates:
Mg: 0.0000 0.0000 0.1253
Cr: 0.0000 0.0000 0.5000
In: 0.0000 0.5000 0.0000
S: 0.0000 0.0000 0.2573
S: 0.0312 0.5156 0.2458

Main lines, sorted by position (2θ = 10–90°):
| two_theta | I/Imax |
| --- | --- |
| 14.33 | 100 |
| 27.58 | 81 |
| 33.45 | 97 |
| 43.88 | 29 |
| 47.94 | 44 |
| 48.13 | 44 |



CrIn2Mo: theoretical powder X-ray diffraction pattern (a wavelength of 1.5418 Å), based on the GGA-PBE geometry in Alexandria.

abc: 3.079 3.138 15.722
angles: 90.00 90.00 90.00
Space group Amm2 (No. 38)
Inequivalent atoms, fractional coordinates:
Cr: 0.000 0.000 0.000
In: 0.000 0.000 0.794
In: 0.500 0.000 0.619
Mo: 0.500 0.000 0.422

Main lines, sorted by position (2θ = 10–90°):
| two_theta | I/Imax |
| --- | --- |
| 29.01 | 55 |
| 31.20 | 32 |
| 34.22 | 39 |
| 37.09 | 94 |
| 40.61 | 93 |
| 41.49 | 100 |



CrIn2Mo: theoretical powder X-ray diffraction pattern (a wavelength of 1.5418 Å), based on the GGA-PBE geometry in Alexandria.

abc: 3.093 3.093 7.836
angles: 90.00 90.00 90.00
Space group P4mm (No. 99)
Inequivalent atoms, fractional coordinates:
Cr: 0.000 0.000 0.000
In: 0.000 0.000 0.582
In: 0.500 0.500 0.235
Mo: 0.500 0.500 0.839

Main lines, sorted by position (2θ = 10–90°):
| two_theta | I/Imax |
| --- | --- |
| 31.09 | 32 |
| 34.33 | 19 |
| 37.03 | 100 |
| 41.28 | 53 |
| 54.74 | 20 |
| 72.46 | 26 |



CrInN2: theoretical powder X-ray diffraction pattern (a wavelength of 1.5418 Å), based on the GGA-PBE geometry in Alexandria.

abc: 5.524 5.524 8.281
angles: 90.00 90.00 90.00
Space group I-42d (No. 122)
Inequivalent atoms, fractional coordinates:
Cr: 0.000 0.000 0.000
In: 0.000 0.000 0.500
N: 0.068 0.250 0.125

Main lines, sorted by position (2θ = 10–90°):
| two_theta | I/Imax |
| --- | --- |
| 31.49 | 100 |
| 32.41 | 43 |
| 38.01 | 13 |
| 46.50 | 13 |
| 55.47 | 19 |
| 57.24 | 33 |